Computed XRD peak list of Cs3Mg2H8 for copper Kα, from DFT lattice parameters and positions (PBE).
Intensities are scaled so that the largest is 100.

Top 8 peaks for 15 to 90 degrees two-theta, low angle first:
2θ/deg  intensity
16.25  34
22.21  47
25.15  100
27.49  91
37.60  35
42.78  23
45.42  28
47.21  35

Crystal structure
Unit cell a=8.475 b=8.475 c=8.475 alpha=45.01 beta=45.01 gamma=45.01
Positions (direct):
Cs (0.000, 0.000, 0.000)
Cs (0.210, 0.210, 0.210)
Cs (0.790, 0.790, 0.790)
Mg (0.423, 0.423, 0.423)
Mg (0.577, 0.577, 0.577)
H (0.240, 0.719, 0.719)
H (0.281, 0.281, 0.760)
H (0.281, 0.760, 0.281)
H (0.340, 0.340, 0.340)
H (0.660, 0.660, 0.660)
H (0.719, 0.240, 0.719)
H (0.719, 0.719, 0.240)
H (0.760, 0.281, 0.281)

---

Computed XRD peak list of Cs4Mg3H10 for copper Kα, from DFT lattice parameters and positions (PBE).
Intensities are scaled so that the largest is 100.

Top 8 peaks for 15 to 90 degrees two-theta, low angle first:
2θ/deg  intensity
20.18  18
24.90  21
25.99  27
26.57  100
28.64  32
30.37  22
39.05  19
47.70  23

Crystal structure
Unit cell a=7.968 b=7.968 c=13.716 alpha=90.00 beta=90.00 gamma=133.94
Positions (direct):
Cs (0.045, 0.955, 0.861)
Cs (0.245, 0.755, 0.607)
Cs (0.255, 0.745, 0.107)
Cs (0.455, 0.545, 0.361)
Cs (0.545, 0.455, 0.639)
Cs (0.745, 0.255, 0.893)
Cs (0.755, 0.245, 0.393)
Cs (0.955, 0.045, 0.139)
Mg (0.000, 0.000, 0.500)
Mg (0.118, 0.882, 0.344)
Mg (0.382, 0.618, 0.844)
Mg (0.500, 0.500, 0.000)
Mg (0.618, 0.382, 0.156)
Mg (0.882, 0.118, 0.656)
H (0.024, 0.976, 0.642)
H (0.112, 0.303, 0.539)
H (0.141, 0.359, 0.750)
H (0.197, 0.388, 0.961)
H (0.247, 0.753, 0.353)
H (0.253, 0.747, 0.853)
H (0.303, 0.112, 0.461)
H (0.359, 0.141, 0.250)
H (0.388, 0.197, 0.039)
H (0.476, 0.524, 0.142)
H (0.524, 0.476, 0.858)
H (0.612, 0.803, 0.961)
H (0.641, 0.859, 0.750)
H (0.697, 0.888, 0.539)
H (0.747, 0.253, 0.147)
H (0.753, 0.247, 0.647)
H (0.803, 0.612, 0.039)
H (0.859, 0.641, 0.250)
H (0.888, 0.697, 0.461)
H (0.976, 0.024, 0.358)

---

Computed XRD peak list of Cs3MgH4 for copper Kα, from DFT lattice parameters and positions (PBE).
Intensities are scaled so that the largest is 100.

Top 8 peaks for 15 to 90 degrees two-theta, low angle first:
2θ/deg  intensity
16.31  14
26.03  100
26.14  26
27.56  22
38.35  18
46.05  21
47.81  19
53.55  13

Crystal structure
Unit cell a=6.473 b=10.002 c=6.819 alpha=90.00 beta=90.00 gamma=90.00
Positions (direct):
Cs (0.000, 0.000, 0.000)
Cs (0.000, 0.237, 0.508)
Cs (0.000, 0.763, 0.508)
Cs (0.500, 0.263, 0.008)
Cs (0.500, 0.500, 0.500)
Cs (0.500, 0.737, 0.008)
Mg (0.000, 0.500, 0.989)
Mg (0.500, 0.000, 0.489)
H (0.000, 0.303, 0.040)
H (0.000, 0.697, 0.040)
H (0.245, 0.500, 0.840)
H (0.255, 0.000, 0.340)
H (0.500, 0.197, 0.540)
H (0.500, 0.803, 0.540)
H (0.745, 0.000, 0.340)
H (0.755, 0.500, 0.840)

---

Computed XRD peak list of CsMgH3 for copper Kα, from DFT lattice parameters and positions (PBE).
Intensities are scaled so that the largest is 100.

Top 8 peaks for 15 to 90 degrees two-theta, low angle first:
2θ/deg  intensity
16.94  23
22.98  55
25.97  86
28.72  100
39.10  30
44.03  21
46.95  22
49.23  29

Crystal structure
Unit cell a=8.243 b=8.243 c=8.243 alpha=44.31 beta=44.31 gamma=44.31
Positions (direct):
Cs (0.000, 0.000, 0.000)
Cs (0.214, 0.214, 0.214)
Cs (0.786, 0.786, 0.786)
Mg (0.379, 0.379, 0.379)
Mg (0.500, 0.500, 0.500)
Mg (0.621, 0.621, 0.621)
H (0.000, 0.500, 0.500)
H (0.284, 0.697, 0.697)
H (0.303, 0.303, 0.716)
H (0.303, 0.716, 0.303)
H (0.500, 0.000, 0.500)
H (0.500, 0.500, 0.000)
H (0.697, 0.284, 0.697)
H (0.697, 0.697, 0.284)
H (0.716, 0.303, 0.303)

---

Copy entry 2 word for word.
Computed XRD peak list of Cs4Mg3H10 for copper Kα, from DFT lattice parameters and positions (PBE).
Intensities are scaled so that the largest is 100.

Top 8 peaks for 15 to 90 degrees two-theta, low angle first:
2θ/deg  intensity
20.18  18
24.90  21
25.99  27
26.57  100
28.64  32
30.37  22
39.05  19
47.70  23

Crystal structure
Unit cell a=7.968 b=7.968 c=13.716 alpha=90.00 beta=90.00 gamma=133.94
Positions (direct):
Cs (0.045, 0.955, 0.861)
Cs (0.245, 0.755, 0.607)
Cs (0.255, 0.745, 0.107)
Cs (0.455, 0.545, 0.361)
Cs (0.545, 0.455, 0.639)
Cs (0.745, 0.255, 0.893)
Cs (0.755, 0.245, 0.393)
Cs (0.955, 0.045, 0.139)
Mg (0.000, 0.000, 0.500)
Mg (0.118, 0.882, 0.344)
Mg (0.382, 0.618, 0.844)
Mg (0.500, 0.500, 0.000)
Mg (0.618, 0.382, 0.156)
Mg (0.882, 0.118, 0.656)
H (0.024, 0.976, 0.642)
H (0.112, 0.303, 0.539)
H (0.141, 0.359, 0.750)
H (0.197, 0.388, 0.961)
H (0.247, 0.753, 0.353)
H (0.253, 0.747, 0.853)
H (0.303, 0.112, 0.461)
H (0.359, 0.141, 0.250)
H (0.388, 0.197, 0.039)
H (0.476, 0.524, 0.142)
H (0.524, 0.476, 0.858)
H (0.612, 0.803, 0.961)
H (0.641, 0.859, 0.750)
H (0.697, 0.888, 0.539)
H (0.747, 0.253, 0.147)
H (0.753, 0.247, 0.647)
H (0.803, 0.612, 0.039)
H (0.859, 0.641, 0.250)
H (0.888, 0.697, 0.461)
H (0.976, 0.024, 0.358)

---

> Number 1 is which compound?

Cs3Mg2H8

---

Repeat the first record exactly.
Computed XRD peak list of Cs3Mg2H8 for copper Kα, from DFT lattice parameters and positions (PBE).
Intensities are scaled so that the largest is 100.

Top 8 peaks for 15 to 90 degrees two-theta, low angle first:
2θ/deg  intensity
16.25  34
22.21  47
25.15  100
27.49  91
37.60  35
42.78  23
45.42  28
47.21  35

Crystal structure
Unit cell a=8.475 b=8.475 c=8.475 alpha=45.01 beta=45.01 gamma=45.01
Positions (direct):
Cs (0.000, 0.000, 0.000)
Cs (0.210, 0.210, 0.210)
Cs (0.790, 0.790, 0.790)
Mg (0.423, 0.423, 0.423)
Mg (0.577, 0.577, 0.577)
H (0.240, 0.719, 0.719)
H (0.281, 0.281, 0.760)
H (0.281, 0.760, 0.281)
H (0.340, 0.340, 0.340)
H (0.660, 0.660, 0.660)
H (0.719, 0.240, 0.719)
H (0.719, 0.719, 0.240)
H (0.760, 0.281, 0.281)